Structure and computed PXRD pattern of ZnCdMoO4 (a PBE+U-relaxed structure; CuKα).
Kinematic intensities with the Lorentz-polarization factor, no thermal factor.

Cell and atoms:
a = 6.238 Å, b = 6.444 Å, c = 9.143 Å
α = 90.00°, β = 90.00°, γ = 90.00°
Space group Imma (No. 74)
Unique sites:
Zn (0.000, 0.250, 0.140) (multiplicity 4)
Cd (0.250, 0.250, 0.750) (multiplicity 4)
Mo (0.000, 0.000, 0.500) (multiplicity 4)
O (0.000, 0.007, 0.278) (multiplicity 8)
O (0.228, 0.250, 0.493) (multiplicity 8)

Most intense lines, 2θ = 10–90°, most intense first:
2θ (°)  I/Imax
32.75  100.0
33.39  85.7
57.60  62.6
32.50  37.2
34.04  36.5
40.24  36.4
17.21  32.3
53.37  25.9
16.83  25.7
34.82  24.5